Diffraction record for Sr2CaH8O6. The X-ray powder pattern is calculated, not measured: it uses a DFT-relaxed cell (GGA-PBE, the Materials Project) and Cu Kα.
Intensities are scaled so that the largest is 100.

Cell and atoms:
Cell lengths 3.8829, 7.5987, 8.5625 Å; angles 96.87, 90.78, 94.82 degrees
Fractional positions:
Sr: 0.0000 0.0000 0.0000
Sr: 0.0209 0.3975 0.5482
Ca: 0.4264 0.6920 0.2582
H: 0.1909 0.0771 0.6523
H: 0.2804 0.3267 0.1791
H: 0.4629 0.6883 0.9349
H: 0.4746 0.0935 0.4503
H: 0.5485 0.3095 0.9797
H: 0.5960 0.7102 0.5715
H: 0.7783 0.0763 0.6540
H: 0.8720 0.3445 0.1783
O: 0.0915 0.3925 0.2414
O: 0.4694 0.7927 0.0157
O: 0.4920 0.1768 0.5487
O: 0.5452 0.2343 0.0662
O: 0.5447 0.6006 0.5000
O: 0.9821 0.0455 0.7172

Top 8 peaks for 2θ = 15–90°, in order of rising 2θ:
| two_theta | I/Imax |
| --- | --- |
| 16.67 | 100 |
| 20.91 | 35 |
| 22.76 | 17 |
| 26.77 | 22 |
| 28.09 | 19 |
| 31.73 | 21 |
| 32.39 | 17 |
| 34.69 | 22 |


Diffraction record for CaTi6H4O14. The X-ray powder pattern is calculated, not measured: it uses a DFT-relaxed cell (GGA-PBE, the Materials Project) and Cu Kα.
Intensities are scaled so that the largest is 100.

Cell and atoms:
Cell lengths 3.8237, 8.2092, 9.3967 Å; angles 101.11, 90.30, 102.24 degrees
Fractional positions:
Ca: 0.0000 0.0000 0.0000
Ti: 0.2636 0.5251 0.3279
Ti: 0.3132 0.6251 0.0143
Ti: 0.3428 0.7034 0.7146
Ti: 0.6313 0.2332 0.3662
Ti: 0.6738 0.3334 0.0740
Ti: 0.7148 0.4133 0.7566
H: 0.4121 0.9770 0.5893
H: 0.4651 0.8583 0.3092
H: 0.5056 0.0710 0.7616
H: 0.7802 0.9590 0.4391
O: 0.1516 0.2705 0.3540
O: 0.1979 0.3817 0.0864
O: 0.2428 0.4776 0.7952
O: 0.3184 0.6404 0.5079
O: 0.3508 0.7113 0.2196
O: 0.4055 0.9558 0.6891
O: 0.4112 0.8241 0.9386
O: 0.5650 0.9779 0.3946
O: 0.5756 0.1285 0.1381
O: 0.6333 0.2279 0.8706
O: 0.6614 0.2972 0.5765
O: 0.7374 0.4642 0.2933
O: 0.7858 0.5684 0.9979
O: 0.8258 0.6644 0.7279

Top 8 peaks for 2θ = 15–90°, in order of rising 2θ:
| two_theta | I/Imax |
| --- | --- |
| 23.84 | 46 |
| 24.07 | 58 |
| 28.61 | 66 |
| 29.09 | 100 |
| 29.20 | 57 |
| 35.91 | 78 |
| 43.07 | 59 |
| 47.57 | 79 |


Diffraction record for CaZn2H10O8. The X-ray powder pattern is calculated, not measured: it uses a DFT-relaxed cell (GGA-PBE, the Materials Project) and Cu Kα.
Intensities are scaled so that the largest is 100.

Cell and atoms:
Cell lengths 6.2155, 9.9755, 6.9250 Å; angles 90.00, 106.44, 90.00 degrees
Fractional positions:
Ca: 0.0000 0.0000 0.0000
Ca: 0.0000 0.5000 0.5000
Zn: 0.4673 0.2488 0.3141
Zn: 0.4673 0.2512 0.8141
Zn: 0.5327 0.7488 0.1859
Zn: 0.5327 0.7512 0.6859
H: 0.0861 0.7195 0.2677
H: 0.0861 0.7805 0.7677
H: 0.1793 0.2148 0.4749
H: 0.1793 0.2852 0.9749
H: 0.1816 0.5967 0.1700
H: 0.1816 0.9033 0.6700
H: 0.3393 0.5677 0.9750
H: 0.3393 0.9323 0.4750
H: 0.4262 0.5384 0.7548
H: 0.4262 0.9616 0.2548
H: 0.5738 0.0384 0.7452
H: 0.5738 0.4616 0.2452
H: 0.6607 0.0677 0.5250
H: 0.6607 0.4323 0.0250
H: 0.8184 0.0967 0.3300
H: 0.8184 0.4033 0.8300
H: 0.8207 0.7148 0.0251
H: 0.8207 0.7852 0.5251
H: 0.9139 0.2195 0.2323
H: 0.9139 0.2805 0.7323
O: 0.0379 0.6288 0.2222
O: 0.0379 0.8712 0.7222
O: 0.2889 0.2110 0.0171
O: 0.2889 0.2890 0.5171
O: 0.3141 0.6106 0.6972
O: 0.3141 0.8894 0.1972
O: 0.3760 0.5744 0.1230
O: 0.3760 0.9256 0.6230
O: 0.6240 0.0744 0.3770
O: 0.6240 0.4256 0.8770
O: 0.6859 0.1106 0.8028
O: 0.6859 0.3894 0.3028
O: 0.7111 0.7110 0.4829
O: 0.7111 0.7890 0.9829
O: 0.9621 0.1288 0.2778
O: 0.9621 0.3712 0.7778

Top 8 peaks for 2θ = 15–90°, in order of rising 2θ:
| two_theta | I/Imax |
| --- | --- |
| 17.78 | 38 |
| 23.25 | 100 |
| 26.80 | 36 |
| 28.31 | 53 |
| 29.98 | 22 |
| 30.79 | 26 |
| 35.45 | 26 |
| 35.63 | 25 |


Diffraction record for CaZn2H10O8. The X-ray powder pattern is calculated, not measured: it uses a DFT-relaxed cell (GGA-PBE, the Materials Project) and Cu Kα.
Intensities are scaled so that the largest is 100.

Cell and atoms:
Cell lengths 6.4882, 11.0749, 5.9666 Å; angles 90.00, 102.38, 90.00 degrees
Fractional positions:
Ca: 0.0000 0.0000 0.0000
Ca: 0.0000 0.5000 0.5000
Zn: 0.4694 0.1666 0.8433
Zn: 0.4694 0.3334 0.3433
Zn: 0.5306 0.6666 0.6567
Zn: 0.5306 0.8334 0.1567
H: 0.0339 0.2368 0.2651
H: 0.0339 0.2632 0.7651
H: 0.1193 0.1121 0.6091
H: 0.1193 0.3879 0.1091
H: 0.1906 0.6692 0.2506
H: 0.1906 0.8308 0.7506
H: 0.3242 0.5544 0.8877
H: 0.3242 0.9456 0.3877
H: 0.4698 0.1096 0.2318
H: 0.4698 0.3904 0.7318
H: 0.5302 0.6096 0.2682
H: 0.5302 0.8904 0.7682
H: 0.6758 0.0544 0.6123
H: 0.6758 0.4456 0.1123
H: 0.8094 0.1692 0.2494
H: 0.8094 0.3308 0.7494
H: 0.8807 0.6121 0.8909
H: 0.8807 0.8879 0.3909
H: 0.9661 0.7368 0.2349
H: 0.9661 0.7632 0.7349
O: 0.0349 0.6553 0.2331
O: 0.0349 0.8447 0.7331
O: 0.1656 0.1286 0.7738
O: 0.1656 0.3714 0.2738
O: 0.3423 0.5385 0.7320
O: 0.3423 0.9615 0.2320
O: 0.4582 0.6831 0.3101
O: 0.4582 0.8169 0.8101
O: 0.5418 0.1831 0.1899
O: 0.5418 0.3169 0.6899
O: 0.6577 0.0385 0.7680
O: 0.6577 0.4615 0.2680
O: 0.8344 0.6286 0.7262
O: 0.8344 0.8714 0.2262
O: 0.9651 0.1553 0.2669
O: 0.9651 0.3447 0.7669

Top 8 peaks for 2θ = 15–90°, in order of rising 2θ:
| two_theta | I/Imax |
| --- | --- |
| 17.19 | 68 |
| 21.31 | 50 |
| 22.14 | 40 |
| 24.43 | 26 |
| 28.01 | 33 |
| 28.16 | 55 |
| 30.46 | 100 |
| 49.25 | 27 |


Diffraction record for Ca2H6Os. The X-ray powder pattern is calculated, not measured: it uses a DFT-relaxed cell (GGA-PBE, the Materials Project) and Cu Kα.
Intensities are scaled so that the largest is 100.

Cell and atoms:
Cell lengths 5.1269, 5.1269, 5.1269 Å; angles 60.00, 60.00, 60.00 degrees
Fractional positions:
Ca: 0.2500 0.2500 0.2500
Ca: 0.7500 0.7500 0.7500
H: 0.2379 0.2379 0.7621
H: 0.2379 0.7621 0.2379
H: 0.2379 0.7621 0.7621
H: 0.7621 0.2379 0.2379
H: 0.7621 0.2379 0.7621
H: 0.7621 0.7621 0.2379
Os: 0.0000 0.0000 0.0000

Top 8 peaks for 2θ = 15–90°, in order of rising 2θ:
| two_theta | I/Imax |
| --- | --- |
| 21.22 | 100 |
| 35.00 | 88 |
| 41.30 | 54 |
| 50.34 | 16 |
| 55.22 | 23 |
| 62.78 | 31 |
| 67.08 | 18 |
| 77.96 | 17 |


Diffraction record for Ca5P3H. The X-ray powder pattern is calculated, not measured: it uses a DFT-relaxed cell (GGA-PBE, the Materials Project) and Cu Kα.
Intensities are scaled so that the largest is 100.

Cell and atoms:
Cell lengths 8.2706, 8.2706, 6.5597 Å; angles 90.00, 90.00, 120.00 degrees
Fractional positions:
Ca: 0.0000 0.2489 0.2500
Ca: 0.0000 0.7511 0.7500
Ca: 0.2489 0.0000 0.2500
Ca: 0.2489 0.2489 0.7500
Ca: 0.3333 0.6667 0.0000
Ca: 0.3333 0.6667 0.5000
Ca: 0.6667 0.3333 0.0000
Ca: 0.6667 0.3333 0.5000
Ca: 0.7511 0.0000 0.7500
Ca: 0.7511 0.7511 0.2500
P: 0.0000 0.3909 0.7500
P: 0.0000 0.6091 0.2500
P: 0.3909 0.0000 0.7500
P: 0.3909 0.3909 0.2500
P: 0.6091 0.0000 0.2500
P: 0.6091 0.6091 0.7500
H: 0.0000 0.0000 0.0000
H: 0.0000 0.0000 0.5000

Top 8 peaks for 2θ = 15–90°, in order of rising 2θ:
| two_theta | I/Imax |
| --- | --- |
| 27.19 | 21 |
| 29.96 | 24 |
| 33.09 | 31 |
| 34.92 | 100 |
| 35.89 | 97 |
| 37.68 | 48 |
| 52.30 | 20 |
| 53.91 | 31 |


Diffraction record for CaH3Pd. The X-ray powder pattern is calculated, not measured: it uses a DFT-relaxed cell (GGA-PBE, the Materials Project) and Cu Kα.
Intensities are scaled so that the largest is 100.

Cell and atoms:
Cell lengths 3.7271, 3.7271, 3.7271 Å; angles 90.00, 90.00, 90.00 degrees
Fractional positions:
Ca: 0.0000 0.0000 0.0000
H: 0.0000 0.5000 0.5000
H: 0.5000 0.0000 0.5000
H: 0.5000 0.5000 0.0000
Pd: 0.5000 0.5000 0.5000

Top 8 peaks for 2θ = 15–90°, in order of rising 2θ:
| two_theta | I/Imax |
| --- | --- |
| 23.87 | 25 |
| 34.02 | 100 |
| 41.99 | 7 |
| 48.87 | 18 |
| 55.10 | 11 |
| 60.88 | 35 |
| 71.61 | 11 |
| 81.70 | 15 |


Diffraction record for Ca4H12Rh3. The X-ray powder pattern is calculated, not measured: it uses a DFT-relaxed cell (GGA-PBE, the Materials Project) and Cu Kα.
Intensities are scaled so that the largest is 100.

Cell and atoms:
Cell lengths 6.3216, 6.3216, 6.3216 Å; angles 109.47, 109.47, 109.47 degrees
Fractional positions:
Ca: 0.0000 0.0000 0.5000
Ca: 0.0000 0.5000 0.0000
Ca: 0.5000 0.0000 0.0000
Ca: 0.5000 0.5000 0.5000
H: 0.0000 0.2657 0.2657
H: 0.0000 0.7343 0.7343
H: 0.2500 0.5000 0.7500
H: 0.2500 0.7500 0.5000
H: 0.2657 0.0000 0.2657
H: 0.2657 0.2657 0.0000
H: 0.5000 0.2500 0.7500
H: 0.5000 0.7500 0.2500
H: 0.7343 0.0000 0.7343
H: 0.7343 0.7343 0.0000
H: 0.7500 0.2500 0.5000
H: 0.7500 0.5000 0.2500
Rh: 0.0000 0.5000 0.5000
Rh: 0.5000 0.0000 0.5000
Rh: 0.5000 0.5000 0.0000

Top 8 peaks for 2θ = 15–90°, in order of rising 2θ:
| two_theta | I/Imax |
| --- | --- |
| 17.18 | 29 |
| 24.39 | 13 |
| 29.99 | 15 |
| 34.76 | 100 |
| 49.98 | 18 |
| 62.32 | 34 |
| 73.37 | 11 |
| 83.82 | 14 |